(1)
Diffraction record for Y6Er3Mg. The powder diffraction line list is simulated, not measured: it uses DFT lattice parameters and positions (PBE) and copper Kα.

Largest 8 diffraction maxima, low angle first, 5° ≤ 2θ ≤ 70°:
| hkl | two_theta | I/Imax |
| --- | --- | --- |
| 1 0 0 | 8.0 | 33 |
| 1 1 3 | 31.0 | 100 |
| 3 1 -1 | 31.1 | 99 |
| 0 2 0 | 35.9 | 67 |
| 4 0 2 | 36.2 | 33 |
| 2 2 -4 | 51.7 | 23 |
| 4 2 2 | 51.9 | 46 |
| 3 3 -1 | 61.5 | 55 |

Atomic structure:
abc: 11.104 5.005 11.172
angles: 90.00 90.40 90.00
Space group P2_1/m (No. 11)
Asymmetric unit:
Y 0.049 0.250 0.399 x2
Y 0.149 0.750 0.195 x2
Y 0.151 0.250 0.698 x2
Y 0.247 0.250 0.999 x2
Y 0.349 0.750 0.801 x2
Y 0.449 0.250 0.602 x2
Er 0.249 0.750 0.497 x2
Er 0.348 0.250 0.297 x2
Er 0.449 0.750 0.100 x2
Mg 0.048 0.750 0.901 x2


(2)
Diffraction record for KTh2UO8. The powder diffraction line list is simulated, not measured: it uses DFT lattice parameters and positions (PBE) and copper Kα.

Largest 8 diffraction maxima, low angle first, 5° ≤ 2θ ≤ 70°:
| hkl | two_theta | I/Imax |
| --- | --- | --- |
| 0 1 0 | 11.1 | 41 |
| 1 0 1 | 27.4 | 100 |
| 0 2 1 | 27.6 | 93 |
| 1 2 0 | 31.5 | 46 |
| 0 0 2 | 32.6 | 21 |
| 1 2 2 | 45.9 | 64 |
| 2 2 1 | 53.4 | 31 |
| 1 4 1 | 53.8 | 30 |

Atomic structure:
abc: 4.045 7.997 5.497
angles: 90.00 90.09 90.00
Space group P2/m (No. 10)
Asymmetric unit:
K 0.000 0.000 0.000 x1
Th 0.500 0.261 0.500 x2
U 0.000 0.500 0.000 x1
O 0.000 0.297 0.248 x4
O 0.499 0.000 0.696 x2
O 0.499 0.500 0.231 x2


(3)
Diffraction record for In4Ag2Pb. The powder diffraction line list is simulated, not measured: it uses DFT lattice parameters and positions (PBE) and copper Kα.

Largest 8 diffraction maxima, low angle first, 5° ≤ 2θ ≤ 70°:
| hkl | two_theta | I/Imax |
| --- | --- | --- |
| 1 -1 0 | 28.4 | 69 |
| 2 1 1 | 31.3 | 100 |
| 0 0 2 | 32.6 | 90 |
| 0 2 0 | 32.7 | 89 |
| 2 0 1 | 34.5 | 63 |
| 2 2 1 | 36.4 | 61 |
| 1 2 2 | 38.3 | 59 |
| 1 2 -1 | 39.5 | 63 |

Atomic structure:
abc: 5.736 6.028 6.036
angles: 76.34 65.90 65.67
Space group P-1 (No. 2)
Asymmetric unit:
In 0.204 0.102 0.011 x2
In 0.206 0.509 0.601 x2
Ag 0.229 0.022 0.525 x2
Pb 0.500 0.500 0.000 x1


(4)
Diffraction record for Cs4Ac3GaO8. The powder diffraction line list is simulated, not measured: it uses DFT lattice parameters and positions (PBE) and copper Kα.

Largest 8 diffraction maxima, low angle first, 5° ≤ 2θ ≤ 70°:
| hkl | two_theta | I/Imax |
| --- | --- | --- |
| 0 0 2 | 25.2 | 49 |
| 4 0 -2 | 28.4 | 100 |
| 4 0 0 | 29.6 | 42 |
| 2 2 -2 | 33.1 | 62 |
| 2 2 2 | 42.9 | 27 |
| 6 2 -2 | 47.0 | 23 |
| 6 2 -4 | 56.3 | 23 |
| 4 4 0 | 58.7 | 17 |

Atomic structure:
abc: 13.697 7.371 8.038
angles: 90.00 118.26 90.00
Space group C2/m (No. 12)
Asymmetric unit:
Cs 0.000 0.000 0.000 x2
Cs 0.000 0.500 0.000 x2
Cs 0.250 0.250 0.000 x4
Ac 0.000 0.000 0.500 x2
Ac 0.250 0.250 0.500 x4
Ga 0.000 0.500 0.500 x2
O 0.033 0.301 0.361 x8
O 0.208 0.000 0.674 x4
O 0.221 0.000 0.278 x4


(5)
Diffraction record for Cu4BrCl2O. The powder diffraction line list is simulated, not measured: it uses DFT lattice parameters and positions (PBE) and copper Kα.

Largest 8 diffraction maxima, low angle first, 5° ≤ 2θ ≤ 70°:
| hkl | two_theta | I/Imax |
| --- | --- | --- |
| 2 1 0 | 27.9 | 100 |
| 0 0 2 | 29.1 | 52 |
| 0 2 1 | 31.2 | 47 |
| 2 1 1 | 31.5 | 51 |
| 1 1 2 | 34.5 | 33 |
| 2 3 0 | 48.8 | 47 |
| 4 0 0 | 49.5 | 33 |
| 2 1 3 | 53.1 | 35 |

Atomic structure:
abc: 7.365 6.493 6.138
angles: 90.00 90.00 90.00
Space group Pmn2_1 (No. 31)
Asymmetric unit:
Cu 0.000 0.100 0.000 x2
Cu 0.000 0.875 0.370 x2
Cu 0.199 0.662 0.944 x4
Br 0.000 0.172 0.591 x2
Cl 0.248 0.673 0.570 x4
O 0.000 0.812 0.069 x2


(6)
Diffraction record for Al5P3Se3. The powder diffraction line list is simulated, not measured: it uses DFT lattice parameters and positions (PBE) and copper Kα.

Largest 8 diffraction maxima, low angle first, 5° ≤ 2θ ≤ 70°:
| hkl | two_theta | I/Imax |
| --- | --- | --- |
| 0 1 0 | 7.6 | 16 |
| 1 0 1 | 28.0 | 100 |
| 1 1 1 | 29.0 | 8 |
| 1 3 0 | 32.6 | 10 |
| 1 3 2 | 46.4 | 39 |
| 2 0 0 | 46.7 | 20 |
| 0 3 3 | 54.8 | 14 |
| 1 6 1 | 55.3 | 28 |

Atomic structure:
abc: 3.888 11.672 5.568
angles: 90.00 90.00 90.00
Space group Pmm2 (No. 25)
Asymmetric unit:
Al 0.000 0.000 0.000 x1
Al 0.000 0.337 0.995 x2
Al 0.500 0.164 0.504 x2
P 0.000 0.167 0.752 x2
P 0.500 0.000 0.250 x1
Se 0.000 0.500 0.748 x1
Se 0.500 0.339 0.268 x2


(7)
Diffraction record for SiAg. The powder diffraction line list is simulated, not measured: it uses DFT lattice parameters and positions (PBE) and copper Kα.

Largest 8 diffraction maxima, low angle first, 5° ≤ 2θ ≤ 70°:
| hkl | two_theta | I/Imax |
| --- | --- | --- |
| 2 0 0 | 20.0 | 60 |
| 2 1 0 | 31.7 | 65 |
| 1 1 1 | 33.2 | 100 |
| 3 0 1 | 36.3 | 47 |
| 2 1 1 | 37.6 | 67 |
| 1 0 2 | 41.5 | 56 |
| 3 1 1 | 44.2 | 28 |
| 4 0 1 | 45.5 | 26 |

Atomic structure:
abc: 8.891 3.652 4.493
angles: 90.00 90.00 90.00
Space group Pnma (No. 62)
Asymmetric unit:
Si 0.043 0.250 0.138 x4
Ag 0.198 0.250 0.610 x4


(8)
Diffraction record for NdDyHoTl. The powder diffraction line list is simulated, not measured: it uses DFT lattice parameters and positions (PBE) and copper Kα.

Largest 8 diffraction maxima, low angle first, 5° ≤ 2θ ≤ 70°:
| hkl | two_theta | I/Imax |
| --- | --- | --- |
| 1 1 1 | 31.7 | 100 |
| 0 0 2 | 36.5 | 17 |
| 0 2 0 | 36.6 | 17 |
| 2 0 0 | 37.1 | 16 |
| 2 2 0 | 53.1 | 24 |
| 1 1 3 | 62.6 | 14 |
| 1 3 1 | 62.8 | 14 |
| 3 1 1 | 63.5 | 14 |

Atomic structure:
abc: 4.845 4.912 4.928
angles: 90.00 90.00 90.00
Space group Pmmm (No. 47)
Asymmetric unit:
Nd 0.000 0.000 0.000 x1
Dy 0.500 0.500 0.000 x1
Ho 0.500 0.000 0.500 x1
Tl 0.000 0.500 0.500 x1


(9)
Diffraction record for Ce3ThSb3. The powder diffraction line list is simulated, not measured: it uses DFT lattice parameters and positions (PBE) and copper Kα.

Largest 8 diffraction maxima, low angle first, 5° ≤ 2θ ≤ 70°:
| hkl | two_theta | I/Imax |
| --- | --- | --- |
| 3 1 0 | 29.9 | 100 |
| 3 2 1 | 35.6 | 71 |
| 4 2 0 | 42.8 | 9 |
| 4 2 2 | 47.2 | 19 |
| 4 1 3 | 49.2 | 24 |
| 6 1 1 | 60.5 | 26 |
| 6 0 2 | 62.2 | 12 |
| 5 4 1 | 63.9 | 15 |

Atomic structure:
abc: 9.440 9.440 9.440
angles: 90.00 90.00 90.00
Space group P2_13 (No. 198)
Asymmetric unit:
Ce 0.073 0.427 0.573 x4
Ce 0.176 0.176 0.176 x4
Ce 0.178 0.822 0.322 x4
Th 0.074 0.574 0.926 x4
Sb 0.001 0.749 0.626 x12


(10)
Diffraction record for PrScSn6. The powder diffraction line list is simulated, not measured: it uses DFT lattice parameters and positions (PBE) and copper Kα.

Largest 8 diffraction maxima, low angle first, 5° ≤ 2θ ≤ 70°:
| hkl | two_theta | I/Imax |
| --- | --- | --- |
| 1 1 2 | 33.0 | 100 |
| 2 0 0 | 37.3 | 37 |
| 0 0 4 | 40.1 | 14 |
| 2 2 0 | 53.8 | 13 |
| 2 0 4 | 55.9 | 22 |
| 3 1 2 | 64.5 | 30 |
| 1 1 6 | 68.3 | 11 |
| 2 2 4 | 69.2 | 12 |

Atomic structure:
abc: 4.821 4.821 8.996
angles: 90.00 90.00 90.00
Space group P4/mmm (No. 123)
Asymmetric unit:
Pr 0.000 0.000 0.000 x1
Sc 0.000 0.000 0.500 x1
Sn 0.000 0.500 0.264 x4
Sn 0.500 0.500 0.000 x1
Sn 0.500 0.500 0.500 x1


(11)
Diffraction record for Tl14Hg2Te9. The powder diffraction line list is simulated, not measured: it uses DFT lattice parameters and positions (PBE) and copper Kα.

Largest 8 diffraction maxima, low angle first, 5° ≤ 2θ ≤ 70°:
| hkl | two_theta | I/Imax |
| --- | --- | --- |
| 1 1 2 | 25.0 | 22 |
| 1 2 0 | 26.4 | 32 |
| 0 0 3 | 27.1 | 53 |
| 3 -1 1 | 28.0 | 41 |
| 3 0 0 | 30.0 | 100 |
| 2 1 2 | 32.2 | 21 |
| 3 -1 3 | 38.2 | 40 |
| 0 3 3 | 40.9 | 47 |

Atomic structure:
abc: 10.3015 10.3015 9.8627
angles: 90.00 90.00 120.00
Space group P-3 (No. 147)
Asymmetric unit:
Tl 0.0000 0.0000 0.1790 x2
Tl 0.0107 0.6714 0.4817 x6
Tl 0.0711 0.4138 0.1606 x6
Hg 0.3333 0.6667 0.7305 x2
Te 0.0000 0.0000 0.5000 x1
Te 0.0938 0.3745 0.8273 x6
Te 0.3333 0.6667 0.4275 x2


(12)
Diffraction record for Pr6Nd3Sm2. The powder diffraction line list is simulated, not measured: it uses DFT lattice parameters and positions (PBE) and copper Kα.

Largest 8 diffraction maxima, low angle first, 5° ≤ 2θ ≤ 70°:
| hkl | two_theta | I/Imax |
| --- | --- | --- |
| 0 1 2 | 29.6 | 100 |
| 2 0 1 | 34.2 | 17 |
| 1 1 -3 | 34.4 | 34 |
| 1 3 1 | 49.3 | 24 |
| 0 4 -3 | 49.5 | 12 |
| 3 2 0 | 58.5 | 15 |
| 3 0 -4 | 58.7 | 29 |
| 0 2 4 | 61.5 | 13 |

Atomic structure:
abc: 6.406 8.235 8.249
angles: 107.44 97.23 104.92
Space group P-1 (No. 2)
Asymmetric unit:
Pr 0.046 0.182 0.408 x2
Pr 0.136 0.545 0.227 x2
Pr 0.319 0.271 0.865 x2
Nd 0.409 0.638 0.683 x2
Nd 0.500 0.000 0.500 x1
Sm 0.228 0.910 0.045 x2